Theoretical powder XRD pattern
Compound: LiAl2H4Pb2O4F6
Radiation: Cu Kα (weighted mean of Kα1 and Kα2)
Structure: a cell relaxed with PBE
Lines closer than 0.1° are merged.

Principal peaks in the range 2θ from 5° to 70°, in order of rising 2θ:
- d = 6.115 Å, I = 64
- d = 4.817 Å, I = 88
- d = 4.354 Å, I = 48
- d = 3.993 Å, I = 45
- d = 3.817 Å, I = 38
- d = 3.342 Å, I = 100
- d = 3.056 Å, I = 46
- d = 3.037 Å, I = 41
- d = 2.537 Å, I = 39
- d = 2.428 Å, I = 54

```
LiAl2H4Pb2O4F6
1.0
4.956 0.000 0.000
-0.855 7.312 0.000
-1.066 -2.934 6.678
Li Al H Pb O F
1 2 4 2 4 6
direct
0.000 0.000 0.000
0.345 0.316 0.332
0.655 0.684 0.668
0.180 0.495 0.659
0.251 0.846 0.626
0.749 0.154 0.374
0.820 0.505 0.341
0.403 0.769 0.241
0.597 0.231 0.759
0.354 0.469 0.611
0.437 0.852 0.592
0.563 0.148 0.408
0.646 0.531 0.389
0.038 0.128 0.290
0.107 0.463 0.256
0.356 0.182 0.070
0.644 0.818 0.930
0.893 0.537 0.744
0.962 0.872 0.710
```



Theoretical powder XRD pattern
Compound: Ba6Pr2Ga4O15
Radiation: Cu Kα (weighted mean of Kα1 and Kα2)
Structure: a cell relaxed with PBE
Lines closer than 0.1° are merged.

Principal peaks in the range 2θ from 5° to 70°, in order of rising 2θ:
- d = 3.151 Å, I = 50
- d = 3.062 Å, I = 53
- d = 3.012 Å, I = 95
- d = 2.975 Å, I = 100
- d = 2.196 Å, I = 45
- d = 2.045 Å, I = 22
- d = 1.799 Å, I = 19
- d = 1.758 Å, I = 16
- d = 1.751 Å, I = 18
- d = 1.701 Å, I = 22

```
Ba6Pr2Ga4O15
1.0
8.183 0.000 0.000
0.000 6.123 0.000
-0.338 0.000 18.904
Ba Pr Ga O
12 4 8 30
direct
0.000 0.163 0.250
0.000 0.256 0.580
0.000 0.256 0.920
0.000 0.744 0.080
0.000 0.744 0.420
0.000 0.837 0.750
0.465 0.240 0.907
0.465 0.760 0.407
0.500 0.227 0.250
0.500 0.773 0.750
0.535 0.240 0.593
0.535 0.760 0.093
0.254 0.247 0.090
0.254 0.753 0.590
0.746 0.247 0.410
0.746 0.753 0.910
0.254 0.253 0.439
0.254 0.747 0.939
0.272 0.278 0.737
0.272 0.722 0.237
0.728 0.278 0.763
0.728 0.722 0.263
0.746 0.253 0.061
0.746 0.747 0.561
0.038 0.259 0.405
0.038 0.741 0.905
0.194 0.175 0.820
0.194 0.825 0.320
0.226 0.450 0.198
0.226 0.550 0.698
0.244 0.065 0.665
0.244 0.935 0.165
0.263 0.498 0.500
0.263 0.502 0.000
0.266 0.003 0.497
0.266 0.997 0.997
0.449 0.263 0.388
0.449 0.737 0.888
0.500 0.290 0.750
0.500 0.710 0.250
0.551 0.263 0.112
0.551 0.737 0.612
0.734 0.003 0.003
0.734 0.997 0.503
0.737 0.498 0.000
0.737 0.502 0.500
0.756 0.065 0.835
0.756 0.935 0.335
0.774 0.450 0.302
0.774 0.550 0.802
0.806 0.175 0.680
0.806 0.825 0.180
0.962 0.259 0.095
0.962 0.741 0.595
```



Theoretical powder XRD pattern
Compound: Mg14NiSn
Radiation: Cu Kα (weighted mean of Kα1 and Kα2)
Structure: a cell relaxed with PBE
Lines closer than 0.1° are merged.

Principal peaks in the range 2θ from 5° to 70°, in order of rising 2θ:
- d = 10.152 Å, I = 71
- d = 5.391 Å, I = 17
- d = 4.766 Å, I = 31
- d = 3.699 Å, I = 17
- d = 2.713 Å, I = 29
- d = 2.538 Å, I = 38
- d = 2.392 Å, I = 100
- d = 2.381 Å, I = 50
- d = 1.853 Å, I = 18
- d = 1.436 Å, I = 18

```
Mg14NiSn
1.0
10.152 0.000 0.000
0.000 3.139 5.391
0.000 -3.139 5.391
Mg Ni Sn
14 1 1
direct
0.000 0.000 0.000
0.000 0.004 0.499
0.000 0.499 0.004
0.000 0.499 0.499
0.246 0.667 0.667
0.262 0.162 0.162
0.264 0.162 0.678
0.264 0.678 0.162
0.500 0.499 0.997
0.500 0.997 0.499
0.736 0.162 0.678
0.736 0.678 0.162
0.738 0.162 0.162
0.754 0.667 0.667
0.500 0.003 0.003
0.500 0.504 0.504
```



Theoretical powder XRD pattern
Compound: Nb6GePt
Radiation: Cu Kα (weighted mean of Kα1 and Kα2)
Structure: a cell relaxed with PBE
Lines closer than 0.1° are merged.

Principal peaks in the range 2θ from 5° to 70°, in order of rising 2θ:
- d = 5.193 Å, I = 16
- d = 3.672 Å, I = 6
- d = 2.998 Å, I = 6
- d = 2.597 Å, I = 45
- d = 2.323 Å, I = 99
- d = 2.120 Å, I = 100
- d = 1.731 Å, I = 4
- d = 1.499 Å, I = 5
- d = 1.440 Å, I = 21
- d = 1.388 Å, I = 51

```
Nb6GePt
1.0
5.193 0.000 0.000
0.000 5.193 0.000
0.000 0.000 5.193
Nb Ge Pt
6 1 1
direct
0.000 0.250 0.500
0.000 0.750 0.500
0.250 0.500 0.000
0.500 0.000 0.250
0.500 0.000 0.750
0.750 0.500 0.000
0.500 0.500 0.500
0.000 0.000 0.000
```



Theoretical powder XRD pattern
Compound: CsAlH8N4
Radiation: Cu Kα (weighted mean of Kα1 and Kα2)
Structure: a cell relaxed with PBE
Lines closer than 0.1° are merged.

Principal peaks in the range 2θ from 5° to 70°, in order of rising 2θ:
- d = 5.532 Å, I = 25
- d = 4.402 Å, I = 80
- d = 3.912 Å, I = 54
- d = 2.924 Å, I = 100
- d = 2.766 Å, I = 20
- d = 2.474 Å, I = 24
- d = 2.399 Å, I = 19
- d = 2.010 Å, I = 19
- d = 1.812 Å, I = 28
- d = 1.501 Å, I = 18

```
CsAlH8N4
1.0
7.824 0.000 0.000
0.000 7.824 0.000
0.000 0.000 5.325
Cs Al H N
2 2 16 8
direct
0.250 0.250 0.214
0.750 0.750 0.786
0.250 0.750 0.500
0.750 0.250 0.500
0.023 0.398 0.662
0.076 0.694 0.099
0.102 0.023 0.662
0.194 0.924 0.901
0.306 0.576 0.901
0.398 0.477 0.662
0.424 0.806 0.099
0.477 0.102 0.662
0.523 0.898 0.338
0.576 0.194 0.901
0.602 0.523 0.338
0.694 0.424 0.099
0.806 0.076 0.099
0.898 0.977 0.338
0.924 0.306 0.901
0.977 0.602 0.338
0.089 0.657 0.281
0.157 0.911 0.719
0.343 0.589 0.719
0.411 0.843 0.281
0.589 0.157 0.719
0.657 0.411 0.281
0.843 0.089 0.281
0.911 0.343 0.719
```



Theoretical powder XRD pattern
Compound: Cs2NdCuI6
Radiation: Cu Kα (weighted mean of Kα1 and Kα2)
Structure: a cell relaxed with PBE
Lines closer than 0.1° are merged.

Principal peaks in the range 2θ from 5° to 70°, in order of rising 2θ:
- d = 6.025 Å, I = 16
- d = 4.260 Å, I = 16
- d = 3.478 Å, I = 83
- d = 3.012 Å, I = 100
- d = 2.130 Å, I = 73
- d = 1.817 Å, I = 37
- d = 1.739 Å, I = 26
- d = 1.506 Å, I = 12
- d = 1.382 Å, I = 15
- d = 1.347 Å, I = 32

```
Cs2NdCuI6
1.0
0.000 6.025 6.025
6.025 0.000 6.025
6.025 6.025 0.000
Cs Nd Cu I
2 1 1 6
direct
0.250 0.250 0.250
0.750 0.750 0.750
0.000 0.000 0.000
0.500 0.500 0.500
0.259 0.259 0.741
0.259 0.741 0.259
0.259 0.741 0.741
0.741 0.259 0.259
0.741 0.259 0.741
0.741 0.741 0.259
```